For La5PrTlCd2, the PBE geometry in Alexandria gives the computed powder X-ray diffraction pattern in this record (Cu Kα).

Main lines, in order of rising 2θ (2θ from 10° to 90°):
(hkl), 2theta, d (Å), intensity
2 1 3, 28.2, 3.162, 34
2 2 0, 28.7, 3.106, 47
2 0 4, 30.2, 2.955, 100
3 2 1, 37.3, 2.409, 13
4 1 1, 42.8, 2.112, 11
0 0 8, 45.4, 1.997, 12
4 2 4, 51.9, 1.763, 19
2 2 8, 54.6, 1.680, 14

Structural model:
a b c (Å): 8.7862 8.7862 15.9784
angles (deg): 90.00 90.00 90.00
Space group I4/mcm (No. 140)
Asymmetric unit:
La (0.0000, 0.0000, 0.0000)
La (0.2066, 0.2934, 0.1350)
Pr (0.0000, 0.0000, 0.2500)
Tl (0.0000, 0.5000, 0.2500)
Cd (0.1090, 0.3910, 0.5000)

***

For Th2AuS2N2, the PBE geometry in Alexandria gives the computed powder X-ray diffraction pattern in this record (Cu Kα).

Main lines, in order of rising 2θ (2θ from 10° to 90°):
(hkl), 2theta, d (Å), intensity
0 0 3, 24.3, 3.655, 24
1 0 1, 26.4, 3.373, 100
0 1 2, 30.0, 2.977, 52
1 0 4, 41.6, 2.169, 30
1 1 0, 44.3, 2.046, 31
0 1 5, 48.8, 1.865, 13
1 1 3, 51.2, 1.786, 21
0 2 1, 52.3, 1.749, 16

Structural model:
a b c (Å): 4.0927 4.0927 10.9664
angles (deg): 90.00 90.00 120.00
Space group P-3m1 (No. 164)
Asymmetric unit:
Th (0.3333, 0.6667, 0.1352)
Au (0.0000, 0.0000, 0.5000)
S (0.0000, 0.0000, 0.2927)
N (0.3333, 0.6667, 0.9215)

***

For NaMnCl3, the PBE geometry in Alexandria gives the computed powder X-ray diffraction pattern in this record (Cu Kα).

Main lines, in order of rising 2θ (2θ from 10° to 90°):
(hkl), 2theta, d (Å), intensity
0 0 3, 14.1, 6.272, 29
1 0 1, 16.1, 5.495, 19
0 1 2, 18.1, 4.903, 37
1 0 4, 24.5, 3.640, 25
1 1 3, 30.5, 2.932, 100
1 1 6, 39.5, 2.279, 87
3 0 0, 47.5, 1.915, 45
2 -1 9, 51.7, 1.769, 24

Structural model:
a b c (Å): 6.6342 6.6342 18.8161
angles (deg): 90.00 90.00 120.00
Space group R-3 (No. 148, hexagonal axes)
Asymmetric unit:
Na (0.0000, 0.0000, 0.1452)
Mn (0.0000, 0.0000, 0.3404)
Cl (0.0104, 0.3745, 0.9231)

***

For Rb2Ac2SbO6, the PBE geometry in Alexandria gives the computed powder X-ray diffraction pattern in this record (Cu Kα).

Main lines, in order of rising 2θ (2θ from 10° to 90°):
(hkl), 2theta, d (Å), intensity
0 0 1, 13.0, 6.805, 100
0 0 2, 26.2, 3.403, 48
2 0 0, 28.5, 3.133, 35
1 3 -1, 29.6, 3.019, 61
1 3 1, 32.6, 2.748, 76
2 0 -2, 33.9, 2.647, 35
1 3 -3, 46.3, 1.962, 25
3 3 -1, 49.1, 1.855, 24

Structural model:
a b c (Å): 6.4599 11.0265 7.0149
angles (deg): 90.00 104.04 90.00
Space group C2/m (No. 12)
Asymmetric unit:
Rb (0.0000, 0.1553, 0.0000)
Ac (0.0000, 0.3359, 0.5000)
Sb (0.0000, 0.0000, 0.5000)
O (0.1906, 0.1520, 0.6642)
O (0.2358, 0.0000, 0.3263)

***

For Al3Re, the PBE geometry in Alexandria gives the computed powder X-ray diffraction pattern in this record (Cu Kα).

Main lines, in order of rising 2θ (2θ from 10° to 90°):
(hkl), 2theta, d (Å), intensity
0 0 1, 16.5, 5.387, 100
1 0 0, 26.7, 3.336, 61
1 0 1, 31.5, 2.836, 77
1 1 0, 38.2, 2.359, 70
1 1 1, 41.8, 2.161, 40
1 0 2, 43.2, 2.096, 98
2 0 0, 55.1, 1.668, 24
2 1 2, 72.4, 1.305, 43

Structural model:
a b c (Å): 3.3360 3.3360 5.3868
angles (deg): 90.00 90.00 90.00
Space group P4/mmm (No. 123)
Asymmetric unit:
Al (0.0000, 0.0000, 0.0000)
Al (0.5000, 0.5000, 0.2621)
Re (0.0000, 0.0000, 0.5000)

***

For Sc4Tl, the PBE geometry in Alexandria gives the computed powder X-ray diffraction pattern in this record (Cu Kα).

Main lines, in order of rising 2θ (2θ from 10° to 90°):
(hkl), 2theta, d (Å), intensity
1 1 1, 18.4, 4.832, 76
2 2 0, 20.2, 4.403, 62
1 3 1, 24.8, 3.592, 37
3 1 1, 29.8, 2.997, 34
4 0 0, 33.2, 2.702, 59
1 5 1, 34.4, 2.610, 100
2 0 2, 35.2, 2.548, 92
3 5 1, 41.9, 2.155, 47

Structural model:
a b c (Å): 10.8084 15.1913 5.7790
angles (deg): 90.00 90.00 90.00
Space group Fdd2 (No. 43)
Asymmetric unit:
Sc (0.0243, 0.2019, 0.0000)
Sc (0.0459, 0.0984, 0.5207)
Tl (0.0000, 0.0000, 0.0367)

***

For Tb12Cu6Bi, the PBE geometry in Alexandria gives the computed powder X-ray diffraction pattern in this record (Cu Kα).

Main lines, in order of rising 2θ (2θ from 10° to 90°):
(hkl), 2theta, d (Å), intensity
3 0 1, 28.3, 3.150, 39
2 2 2, 31.1, 2.875, 43
3 1 2, 33.7, 2.662, 100
4 0 0, 36.1, 2.490, 17
5 0 1, 46.5, 1.953, 23
5 3 0, 53.7, 1.708, 32
5 2 3, 57.0, 1.616, 37
5 3 4, 66.4, 1.409, 19

Structural model:
a b c (Å): 9.9602 9.9602 9.9602
angles (deg): 90.00 90.00 90.00
Space group Im-3 (No. 204)
Asymmetric unit:
Tb (0.0000, 0.3033, 0.1890)
Cu (0.0000, 0.1228, 0.5000)
Bi (0.0000, 0.0000, 0.0000)

***

For Ho3MgHg2, the PBE geometry in Alexandria gives the computed powder X-ray diffraction pattern in this record (Cu Kα).

Main lines, in order of rising 2θ (2θ from 10° to 90°):
(hkl), 2theta, d (Å), intensity
1 1 0, 17.9, 4.943, 12
0 6 0, 33.8, 2.649, 24
1 3 1, 34.1, 2.631, 100
2 0 0, 34.5, 2.600, 25
2 6 0, 49.1, 1.856, 17
0 6 2, 60.7, 1.525, 25
3 3 1, 61.5, 1.507, 18
2 6 2, 71.8, 1.315, 11

Structural model:
a b c (Å): 5.2009 15.8934 3.7292
angles (deg): 90.00 90.00 90.00
Space group Cmmm (No. 65)
Asymmetric unit:
Ho (0.0000, 0.0000, 0.0000)
Ho (0.0000, 0.3290, 0.0000)
Mg (0.0000, 0.5000, 0.5000)
Hg (0.0000, 0.1550, 0.5000)

***

For Pm2Er3In3, the PBE geometry in Alexandria gives the computed powder X-ray diffraction pattern in this record (Cu Kα).

Main lines, in order of rising 2θ (2θ from 10° to 90°):
(hkl), 2theta, d (Å), intensity
1 1 2, 32.2, 2.779, 100
0 2 0, 36.3, 2.478, 19
2 0 0, 36.7, 2.448, 18
0 0 4, 39.1, 2.304, 14
2 2 0, 52.6, 1.741, 13
1 3 2, 62.7, 1.482, 15
3 1 2, 63.3, 1.469, 14
2 2 4, 67.4, 1.389, 11

Structural model:
a b c (Å): 4.8959 4.9557 9.2177
angles (deg): 90.00 90.00 90.00
Space group Pmmm (No. 47)
Asymmetric unit:
Pm (0.0000, 0.0000, 0.2431)
Er (0.5000, 0.0000, 0.5000)
Er (0.5000, 0.5000, 0.2314)
In (0.0000, 0.5000, 0.0000)
In (0.0000, 0.5000, 0.5000)
In (0.5000, 0.0000, 0.0000)

***

For TaPPtRhAuI, the PBE geometry in Alexandria gives the computed powder X-ray diffraction pattern in this record (Cu Kα).

Main lines, in order of rising 2θ (2θ from 10° to 90°):
(hkl), 2theta, d (Å), intensity
0 1 0, 23.9, 3.730, 24
1 0 -2, 32.8, 2.728, 48
1 1 1, 33.9, 2.644, 100
0 1 2, 38.4, 2.342, 26
2 0 1, 39.1, 2.301, 24
1 1 -2, 41.0, 2.202, 31
2 1 -1, 43.9, 2.064, 44
0 2 0, 48.8, 1.865, 27

Structural model:
a b c (Å): 5.2227 3.7295 6.0517
angles (deg): 90.00 95.85 90.00
Space group Pm (No. 6)
Asymmetric unit:
Ta (0.0000, 0.0000, 0.0000)
P (0.2959, 0.5000, 0.1235)
Pt (0.5523, 0.0000, 0.1944)
Rh (0.9322, 0.5000, 0.3247)
Au (0.2214, 0.0000, 0.5800)
I (0.7066, 0.5000, 0.7033)

***

For La2Si2O7, the PBE geometry in Alexandria gives the computed powder X-ray diffraction pattern in this record (Cu Kα).

Main lines, in order of rising 2θ (2θ from 10° to 90°):
(hkl), 2theta, d (Å), intensity
0 1 1, 12.0, 7.357, 47
1 0 2, 25.8, 3.455, 100
1 0 -4, 25.9, 3.445, 47
1 2 0, 26.7, 3.342, 44
0 2 3, 28.6, 3.125, 32
2 0 -2, 32.4, 2.765, 26
2 2 1, 43.6, 2.074, 23
2 2 -5, 43.8, 2.068, 24

Structural model:
a b c (Å): 5.5295 8.8446 14.3393
angles (deg): 90.00 112.45 90.00
Space group P2_1/c (No. 14)
Asymmetric unit:
La (0.0179, 0.1885, 0.2665)
La (0.3319, 0.1080, 0.5892)
Si (0.2504, 0.7455, 0.0264)
Si (0.4565, 0.5056, 0.6793)
O (0.0627, 0.7423, 0.9069)
O (0.0832, 0.6448, 0.0802)
O (0.2605, 0.0879, 0.7597)
O (0.2815, 0.5230, 0.7497)
O (0.2991, 0.5802, 0.5678)
O (0.4675, 0.6704, 0.3298)
O (0.4730, 0.1533, 0.4476)

***

For Ti2Sb2Pd7Au, the PBE geometry in Alexandria gives the computed powder X-ray diffraction pattern in this record (Cu Kα).

Main lines, in order of rising 2θ (2θ from 10° to 90°):
(hkl), 2theta, d (Å), intensity
2 0 2, 34.5, 2.602, 19
0 2 3, 37.9, 2.374, 100
2 0 3, 38.2, 2.357, 43
2 0 4, 42.9, 2.106, 25
0 0 6, 43.7, 2.071, 30
2 2 0, 44.5, 2.038, 29
2 2 1, 45.1, 2.011, 29
4 2 3, 77.9, 1.227, 24

Structural model:
a b c (Å): 5.7313 5.7959 12.4262
angles (deg): 90.00 90.00 90.00
Space group Cmmm (No. 65)
Asymmetric unit:
Ti (0.0000, 0.0000, 0.1827)
Sb (0.0000, 0.5000, 0.1869)
Pd (0.0000, 0.0000, 0.5000)
Pd (0.0000, 0.2408, 0.0000)
Pd (0.2500, 0.2500, 0.3376)
Au (0.0000, 0.5000, 0.5000)

***

Question: Number 3 is which compound?
Answer: NaMnCl3

***

Repeat the tenth record exactly.
For TaPPtRhAuI, the PBE geometry in Alexandria gives the computed powder X-ray diffraction pattern in this record (Cu Kα).

Main lines, in order of rising 2θ (2θ from 10° to 90°):
(hkl), 2theta, d (Å), intensity
0 1 0, 23.9, 3.730, 24
1 0 -2, 32.8, 2.728, 48
1 1 1, 33.9, 2.644, 100
0 1 2, 38.4, 2.342, 26
2 0 1, 39.1, 2.301, 24
1 1 -2, 41.0, 2.202, 31
2 1 -1, 43.9, 2.064, 44
0 2 0, 48.8, 1.865, 27

Structural model:
a b c (Å): 5.2227 3.7295 6.0517
angles (deg): 90.00 95.85 90.00
Space group Pm (No. 6)
Asymmetric unit:
Ta (0.0000, 0.0000, 0.0000)
P (0.2959, 0.5000, 0.1235)
Pt (0.5523, 0.0000, 0.1944)
Rh (0.9322, 0.5000, 0.3247)
Au (0.2214, 0.0000, 0.5800)
I (0.7066, 0.5000, 0.7033)